This entry pairs a crystal structure of MgFe4Sb4S4 with its computed PXRD pattern. Radiation: Cu Ka. Structure: a crystal structure in the Materials Project, relaxed with PBE.

Main lines, in order of rising 2θ (2θ = 10–80°):
h k l, 2θ/deg, d/Å, I/Imax
0 0 1, 14.7, 6.040, 46
1 0 2, 32.9, 2.725, 98
1 0 -2, 33.6, 2.670, 48
1 2 0, 33.9, 2.643, 62
2 1 1, 34.1, 2.628, 100
-2 1 1, 35.0, 2.565, 75
-1 1 3, 45.3, 2.003, 49
0 2 -2, 50.4, 1.812, 37
3 -1 1, 52.1, 1.756, 39
3 1 -1, 52.6, 1.739, 43

Crystal structure
```
data_MgFe4Sb4S4
_symmetry_space_group_name_H-M 'P -1'
_symmetry_Int_Tables_number 2
_symmetry_space_group_name_Hall '-P 1'
_cell_length_a 5.9852
_cell_length_b 6.2682
_cell_length_c 6.4486
_cell_angle_alpha 69.53
_cell_angle_beta 88.30
_cell_angle_gamma 89.05
loop_
_atom_site_label
_atom_site_type_symbol
_atom_site_fract_x
_atom_site_fract_y
_atom_site_fract_z
Mg1 Mg 0.0000 0.0000 0.0000
Fe1 Fe 0.0124 0.7127 0.7959
Fe2 Fe 0.4858 0.2197 0.7871
Sb1 Sb 0.1688 0.8642 0.4065
Sb2 Sb 0.3576 0.3679 0.3557
S1 S 0.1573 0.3675 0.8556
S2 S 0.3697 0.8396 0.8743
```

This entry pairs a crystal structure of Sm2TlI5 with its computed PXRD pattern. Radiation: Cu Ka. Structure: a crystal structure in the Materials Project, relaxed with PBE.

Main lines, in order of rising 2θ (2θ = 10–80°):
h k l, 2θ/deg, d/Å, I/Imax
0 1 4, 27.2, 3.280, 42
2 1 -3, 28.1, 3.175, 32
0 2 3, 28.2, 3.163, 21
2 2 -1, 28.6, 3.123, 100
2 2 1, 28.7, 3.106, 68
2 2 -2, 30.5, 2.928, 39
2 0 -4, 30.9, 2.896, 74
2 0 4, 31.5, 2.838, 42
0 3 1, 32.2, 2.777, 38
4 0 0, 37.1, 2.421, 50

Crystal structure
```
data_Sm2TlI5
_symmetry_space_group_name_H-M 'P 1 21/c 1'
_symmetry_Int_Tables_number 14
_symmetry_space_group_name_Hall '-P 2ybc'
_cell_length_a 9.6885
_cell_length_b 8.4930
_cell_length_c 14.2243
_cell_angle_alpha 90.00
_cell_angle_beta 91.20
_cell_angle_gamma 90.00
loop_
_atom_site_label
_atom_site_type_symbol
_atom_site_fract_x
_atom_site_fract_y
_atom_site_fract_z
Sm1 Sm 0.0108 0.0503 0.1712
Sm2 Sm 0.2424 0.0877 0.5077
Tl1 Tl 0.4895 0.0631 0.1680
I1 I 0.0395 0.6644 0.1056
I2 I 0.2159 0.6574 0.8237
I3 I 0.2176 0.0349 0.9979
I4 I 0.2263 0.1763 0.7241
I5 I 0.4703 0.6583 0.0913
```

This entry pairs a crystal structure of FeTe2 with its computed PXRD pattern. Radiation: Cu Ka. Structure: a crystal structure in the Materials Project, relaxed with PBE.

Main lines, in order of rising 2θ (2θ = 10–80°):
h k l, 2θ/deg, d/Å, I/Imax
0 0 1, 15.2, 5.840, 9
0 0 2, 30.6, 2.920, 13
1 0 1, 31.5, 2.838, 100
1 0 2, 41.6, 2.171, 32
1 1 0, 48.6, 1.875, 28
0 1 3, 55.0, 1.670, 21
1 1 2, 58.5, 1.577, 13
0 2 1, 59.1, 1.564, 16
2 0 3, 76.4, 1.247, 8
2 1 1, 79.9, 1.201, 13

Crystal structure
```
data_FeTe2
_symmetry_space_group_name_H-M 'P -3 m 1'
_symmetry_Int_Tables_number 164
_symmetry_space_group_name_Hall '-P 3 2"'
_cell_length_a 3.7491
_cell_length_b 3.7491
_cell_length_c 5.8398
_cell_angle_alpha 90.00
_cell_angle_beta 90.00
_cell_angle_gamma 120.00
loop_
_atom_site_label
_atom_site_type_symbol
_atom_site_fract_x
_atom_site_fract_y
_atom_site_fract_z
Fe1 Fe 0.0000 0.0000 0.0000
Te1 Te 0.3333 0.6667 0.7545
```

This entry pairs a crystal structure of Tm4B3C4 with its computed PXRD pattern. Radiation: Cu Ka. Structure: a crystal structure in the Materials Project, relaxed with PBE.

Main lines, in order of rising 2θ (2θ = 10–80°):
h k l, 2θ/deg, d/Å, I/Imax
0 1 -1, 25.9, 3.436, 44
0 1 1, 26.7, 3.343, 59
1 0 -2, 28.7, 3.108, 70
0 0 4, 30.6, 2.922, 100
1 0 2, 31.6, 2.828, 63
0 1 -3, 33.3, 2.688, 85
0 1 3, 35.1, 2.558, 58
1 1 0, 36.6, 2.455, 86
-1 1 1, 36.8, 2.444, 83
1 0 -4, 38.2, 2.355, 38

Crystal structure
```
data_Tm4B3C4
_symmetry_space_group_name_H-M 'P -1'
_symmetry_Int_Tables_number 2
_symmetry_space_group_name_Hall '-P 1'
_cell_length_a 3.4507
_cell_length_b 3.5454
_cell_length_c 11.7730
_cell_angle_alpha 92.83
_cell_angle_beta 96.17
_cell_angle_gamma 90.19
loop_
_atom_site_label
_atom_site_type_symbol
_atom_site_fract_x
_atom_site_fract_y
_atom_site_fract_z
Tm1 Tm 0.1127 0.4450 0.1400
Tm2 Tm 0.3066 0.0240 0.6507
B1 B 0.2325 0.4938 0.4595
B2 B 0.5000 0.0000 0.0000
C1 C 0.1865 0.4726 0.3313
C2 C 0.3888 0.0647 0.8788
```